Structure and calculated powder XRD pattern of CeSe2 (a PBE-relaxed structure; λ = 1.5418 Å (Cu Kα)).
Lines closer than 0.1° are merged.

Peak list (12 most intense, 2θ from 10° to 80°, most intense first)
2theta	Rel. int.	index
11.9	100	1 3 0
13.9	94	2 0 -2
12.0	84	4 0 -1
15.3	84	3 1 -2
12.7	83	3 1 1
15.5	73	0 4 0
21.3	48	4 4 1
17.1	47	6 0 0
20.6	41	2 0 -3
11.1	33	2 2 -1
41.8	32	14 0 -3
24.2	30	6 0 -3

```
data_CeSe2
_chemical_formula_sum 'Ce32 Se64'
_symmetry_space_group_name_H-M 'C 1 2/m 1'
_symmetry_Int_Tables_number 12
_symmetry_space_group_name_Hall '-C 2y'
_cell_length_a 31.8215
_cell_length_b 22.8901
_cell_length_c 13.0068
_cell_angle_alpha 90.00
_cell_angle_beta 101.82
_cell_angle_gamma 90.00
loop_
_atom_site_label
_atom_site_type_symbol
_atom_site_fract_x
_atom_site_fract_y
_atom_site_fract_z
Ce1 Ce 0.0124 0.1138 0.3010
Ce2 Ce 0.1474 0.1145 0.9008
Ce3 Ce 0.1612 0.2035 0.2722
Ce4 Ce 0.2489 0.1128 0.6215
Se1 Se 0.0000 0.1256 0.5000
Se2 Se 0.0311 0.0000 0.2755
Se3 Se 0.0634 0.1423 0.8288
Se4 Se 0.0761 0.1858 0.2655
Se5 Se 0.1556 0.0000 0.9554
Se6 Se 0.1766 0.1781 0.0789
Se7 Se 0.1809 0.3181 0.3211
Se8 Se 0.1936 0.1369 0.7514
Se9 Se 0.2096 0.1333 0.4185
Se10 Se 0.2227 0.5000 0.3546
```